[1]
Theoretical XRD peak list of Mg3Zn2BRh3 for Cu Kα (weighted mean of Kα1 and Kα2), from a DFT-relaxed cell (GGA-PBE, Alexandria).

Cell and atoms:
```
Mg3Zn2BRh3
1.0
6.9721 0.0000 0.0000
-3.4860 6.0380 0.0000
0.0000 0.0000 3.0053
Mg Zn B Rh
3 2 1 3
Direct
0.0000 0.6229 0.0000
0.3771 0.3771 0.0000
0.6229 0.0000 0.0000
0.3333 0.6667 0.5000
0.6667 0.3333 0.5000
0.0000 0.0000 0.0000
0.0000 0.2406 0.5000
0.2406 0.0000 0.5000
0.7594 0.7594 0.5000
```

Main lines, in order of falling intensity (10 to 80 degrees two-theta):
- 2θ 39.49, d = 2.282 Å, I = 100
- 2θ 50.20, d = 1.818 Å, I = 80
- 2θ 39.59, d = 2.276 Å, I = 77
- 2θ 29.73, d = 3.005 Å, I = 54
- 2θ 42.44, d = 2.130 Å, I = 38
- 2θ 25.55, d = 3.486 Å, I = 33
- 2θ 45.04, d = 2.013 Å, I = 28
- 2θ 75.80, d = 1.255 Å, I = 28
- 2θ 79.41, d = 1.207 Å, I = 25
- 2θ 29.59, d = 3.019 Å, I = 23
- 2θ 75.59, d = 1.258 Å, I = 23
- 2θ 14.67, d = 6.038 Å, I = 14

=====

[2]
Theoretical XRD peak list of Mg2B10Ru for Cu Kα (weighted mean of Kα1 and Kα2), from a DFT-relaxed cell (GGA-PBE, Alexandria).

Cell and atoms:
```
Mg2B10Ru
1.0
5.6215 0.0000 0.0000
0.0000 11.4497 0.0000
0.0000 0.0000 4.1819
Mg B Ru
4 20 2
Direct
0.2334 0.1164 0.0000
0.2666 0.6164 0.0000
0.7334 0.3836 0.0000
0.7666 0.8836 0.0000
0.0509 0.8090 0.5000
0.1129 0.4535 0.5000
0.1407 0.3007 0.5000
0.2230 0.8782 0.1966
0.2230 0.8782 0.8034
0.2770 0.3782 0.1966
0.2770 0.3782 0.8034
0.3593 0.8007 0.5000
0.3871 0.9535 0.5000
0.4491 0.3090 0.5000
0.5509 0.6910 0.5000
0.6129 0.0465 0.5000
0.6407 0.1993 0.5000
0.7230 0.6218 0.1966
0.7230 0.6218 0.8034
0.7770 0.1218 0.1966
0.7770 0.1218 0.8034
0.8593 0.6993 0.5000
0.8871 0.5465 0.5000
0.9491 0.1910 0.5000
0.0000 0.0000 0.5000
0.5000 0.5000 0.5000
```

Main lines, in order of falling intensity (10 to 80 degrees two-theta):
- 2θ 17.58, d = 5.046 Å, I = 100
- 2θ 15.48, d = 5.725 Å, I = 61
- 2θ 27.70, d = 3.220 Å, I = 50
- 2θ 35.61, d = 2.521 Å, I = 43
- 2θ 38.10, d = 2.362 Å, I = 42
- 2θ 38.59, d = 2.333 Å, I = 40
- 2θ 21.25, d = 4.182 Å, I = 30
- 2θ 45.21, d = 2.006 Å, I = 27
- 2θ 26.39, d = 3.377 Å, I = 26
- 2θ 41.81, d = 2.160 Å, I = 23
- 2θ 28.26, d = 3.158 Å, I = 21
- 2θ 54.25, d = 1.691 Å, I = 20

=====

[3]
Theoretical XRD peak list of Mg2B4Ru5 for Cu Kα (weighted mean of Kα1 and Kα2), from a DFT-relaxed cell (GGA-PBE, Alexandria).

Cell and atoms:
```
Mg2B4Ru5
1.0
8.4364 0.0000 0.0000
0.0000 10.0770 0.0000
0.0000 0.0000 2.9584
Mg B Ru
4 8 10
Direct
0.1494 0.1838 0.0000
0.3506 0.6838 0.0000
0.6494 0.3162 0.0000
0.8506 0.8162 0.0000
0.0392 0.5889 0.0000
0.1476 0.8974 0.0000
0.3524 0.3974 0.0000
0.4608 0.0889 0.0000
0.5392 0.9111 0.0000
0.6476 0.6026 0.0000
0.8524 0.1026 0.0000
0.9608 0.4111 0.0000
0.0000 0.0000 0.5000
0.1036 0.7380 0.5000
0.1563 0.4525 0.5000
0.3437 0.9525 0.5000
0.3964 0.2380 0.5000
0.5000 0.5000 0.5000
0.6036 0.7620 0.5000
0.6563 0.0475 0.5000
0.8437 0.5475 0.5000
0.8964 0.2620 0.5000
```

Main lines, in order of falling intensity (10 to 80 degrees two-theta):
- 2θ 30.21, d = 2.958 Å, I = 100
- 2θ 46.21, d = 1.965 Å, I = 93
- 2θ 45.40, d = 1.998 Å, I = 81
- 2θ 34.12, d = 2.628 Å, I = 72
- 2θ 33.07, d = 2.709 Å, I = 57
- 2θ 47.40, d = 1.918 Å, I = 49
- 2θ 35.64, d = 2.519 Å, I = 42
- 2θ 37.25, d = 2.414 Å, I = 36
- 2θ 38.22, d = 2.355 Å, I = 35
- 2θ 41.90, d = 2.156 Å, I = 31
- 2θ 22.85, d = 3.891 Å, I = 28
- 2θ 77.52, d = 1.231 Å, I = 25

=====

[4]
Theoretical XRD peak list of MgBRuWSe for Cu Kα (weighted mean of Kα1 and Kα2), from a DFT-relaxed cell (GGA-PBE, Alexandria).

Cell and atoms:
```
MgBRuWSe
1.0
3.0542 0.0000 0.0000
0.0000 1.5055 8.4536
0.0000 -1.5055 8.4536
Mg B Ru W Se
1 1 1 1 1
Direct
0.0000 0.0000 0.0000
0.0000 0.1501 0.1501
0.5000 0.6080 0.6080
0.5000 0.2487 0.2487
0.0000 0.8350 0.8350
```

Main lines, in order of falling intensity (10 to 80 degrees two-theta):
- 2θ 10.46, d = 8.454 Å, I = 100
- 2θ 45.25, d = 2.004 Å, I = 31
- 2θ 33.75, d = 2.656 Å, I = 31
- 2θ 43.71, d = 2.071 Å, I = 26
- 2θ 40.10, d = 2.249 Å, I = 26
- 2θ 31.14, d = 2.872 Å, I = 24
- 2θ 42.50, d = 2.127 Å, I = 23
- 2θ 76.21, d = 1.249 Å, I = 10
- 2θ 78.55, d = 1.218 Å, I = 9
- 2θ 21.02, d = 4.227 Å, I = 9
- 2θ 42.79, d = 2.113 Å, I = 9
- 2θ 29.24, d = 3.054 Å, I = 9